Entry 1:
Simulated powder diffraction line list of K2Ga12Pt7 for Cu Ka, from a cell relaxed with PBE.
Intensities are scaled so that the largest is 1000.

Peak list (12 most intense, 10 to 80 degrees two-theta, low angle first)
hkl, 2θ/deg, d_spacing, Rel. int.
1 1 0, 17.28, 5.131, 286
1 0 1, 23.44, 3.795, 345
1 2 0, 26.53, 3.359, 561
1 1 1, 27.45, 3.249, 388
1 2 1, 34.19, 2.623, 661
1 3 0, 36.45, 2.465, 260
2 2 1, 41.24, 2.189, 429
3 1 1, 42.53, 2.125, 1000
0 0 2, 43.11, 2.098, 464
4 0 1, 46.23, 1.964, 260
2 3 1, 49.71, 1.834, 338
1 2 2, 51.35, 1.779, 261

Crystal structure
Lattice parameters (Å, degrees): 10.2625 10.2625 4.1970 90.00 90.00 120.00
Space group P-6 (No. 174)
Inequivalent atoms, fractional coordinates:
K 0.0000 0.0000 0.0000 [1 per cell]
K 0.3333 0.6667 0.5000 [1 per cell]
Ga 0.0221 0.7476 0.5000 [3 per cell]
Ga 0.1455 0.4051 0.0000 [3 per cell]
Ga 0.3748 0.1739 0.0000 [3 per cell]
Ga 0.5436 0.1231 0.5000 [3 per cell]
Pt 0.0248 0.5841 0.0000 [3 per cell]
Pt 0.2577 0.0099 0.5000 [3 per cell]
Pt 0.6667 0.3333 0.0000 [1 per cell]

Entry 2:
Simulated powder diffraction line list of AcPrHo2Er4 for Cu Ka, from a cell relaxed with PBE.
Intensities are scaled so that the largest is 1000.

Peak list (12 most intense, 10 to 80 degrees two-theta, low angle first)
hkl, 2θ/deg, d_spacing, Rel. int.
0 4 0, 26.57, 3.355, 448
4 0 0, 29.99, 2.979, 1000
4 4 0, 40.49, 2.228, 878
4 0 2, 53.23, 1.721, 134
8 0 -2, 53.29, 1.719, 67
4 4 2, 60.46, 1.531, 179
8 4 -2, 60.52, 1.530, 90
8 0 -4, 62.29, 1.491, 83
4 8 0, 63.66, 1.462, 221
8 4 -4, 68.93, 1.362, 121
8 4 0, 69.05, 1.360, 61
8 8 -2, 79.90, 1.201, 79

Crystal structure
Lattice parameters (Å, degrees): 13.7516 13.4201 6.8889 90.00 120.05 90.00
Space group C2/c (No. 15)
Inequivalent atoms, fractional coordinates:
Ac 0.2500 0.2500 0.0000 [4 per cell]
Pr 0.0000 0.0000 0.0000 [4 per cell]
Ho 0.0000 0.5000 0.0000 [4 per cell]
Ho 0.2500 0.2500 0.5000 [4 per cell]
Er 0.0000 0.2550 0.0127 [8 per cell]
Er 0.2445 0.4902 0.4925 [8 per cell]

Entry 3:
Simulated powder diffraction line list of Ni2P3 for Cu Ka, from a cell relaxed with PBE.
Intensities are scaled so that the largest is 1000.

Peak list (12 most intense, 10 to 80 degrees two-theta, low angle first)
hkl, 2θ/deg, d_spacing, Rel. int.
1 0 0, 28.18, 3.167, 401
0 0 2, 30.35, 2.945, 279
1 0 1, 32.09, 2.789, 1000
1 0 2, 41.89, 2.156, 890
1 1 0, 49.87, 1.828, 882
0 1 3, 55.04, 1.669, 538
2 0 0, 58.27, 1.583, 47
1 1 2, 59.51, 1.553, 225
0 2 1, 60.55, 1.529, 146
0 2 2, 67.12, 1.395, 202
1 1 3, 70.37, 1.338, 31
2 0 3, 77.44, 1.232, 185

Crystal structure
Lattice parameters (Å, degrees): 3.6569 3.6569 5.8893 90.00 90.00 120.00
Space group P-3m1 (No. 164)
Inequivalent atoms, fractional coordinates:
Ni 0.3333 0.6667 0.2622 [2 per cell]
P 0.0000 0.0000 0.5000 [1 per cell]
P 0.3333 0.6667 0.8670 [2 per cell]

Entry 4:
Simulated powder diffraction line list of Ba2NaTl4 for Cu Ka, from a cell relaxed with PBE.
Intensities are scaled so that the largest is 1000.

Peak list (12 most intense, 10 to 80 degrees two-theta, low angle first)
hkl, 2θ/deg, d_spacing, Rel. int.
0 2 0, 10.71, 8.258, 293
1 1 0, 14.66, 6.041, 578
0 2 1, 19.58, 4.534, 284
1 3 1, 26.85, 3.320, 612
0 4 1, 27.14, 3.285, 350
2 0 0, 27.48, 3.245, 656
0 0 2, 33.03, 2.712, 408
1 5 1, 34.67, 2.587, 1000
2 4 1, 39.01, 2.309, 269
2 0 2, 43.49, 2.081, 384
3 5 1, 53.37, 1.717, 481
1 5 3, 60.05, 1.541, 209

Crystal structure
Lattice parameters (Å, degrees): 6.4904 16.5154 5.4243 90.00 90.00 90.00
Space group Cmmm (No. 65)
Inequivalent atoms, fractional coordinates:
Ba 0.0000 0.1623 0.0000 [4 per cell]
Na 0.0000 0.5000 0.5000 [2 per cell]
Tl 0.0000 0.3015 0.5000 [4 per cell]
Tl 0.0000 0.4089 0.0000 [4 per cell]

Entry 5:
Simulated powder diffraction line list of Sm2Zn3InCu12 for Cu Ka, from a cell relaxed with PBE.
Intensities are scaled so that the largest is 1000.

Peak list (12 most intense, 10 to 80 degrees two-theta, low angle first)
hkl, 2θ/deg, d_spacing, Rel. int.
0 0 3, 16.89, 5.250, 426
0 2 1, 24.77, 3.594, 184
2 0 2, 26.67, 3.342, 436
0 1 5, 30.86, 2.897, 447
0 2 4, 33.27, 2.693, 152
1 2 2, 34.09, 2.630, 216
3 0 3, 40.48, 2.228, 149
2 2 0, 42.41, 2.131, 1000
1 2 5, 43.32, 2.089, 636
2 2 3, 45.96, 1.975, 176
0 2 7, 47.31, 1.921, 223
2 1 7, 52.23, 1.751, 210

Crystal structure
Lattice parameters (Å, degrees): 8.5247 8.5247 15.7499 90.00 90.00 120.00
Space group R-3m (No. 166, hexagonal axes)
Inequivalent atoms, fractional coordinates:
Sm 0.0000 0.0000 0.1015 [6 per cell]
Zn 0.0000 0.5000 0.0000 [9 per cell]
In 0.0000 0.0000 0.5000 [3 per cell]
Cu 0.0052 0.5026 0.8450 [18 per cell]
Cu 0.0677 0.5338 0.4208 [18 per cell]

Entry 6:
Simulated powder diffraction line list of Hf8MgN8O4 for Cu Ka, from a cell relaxed with PBE.
Intensities are scaled so that the largest is 1000.

Peak list (12 most intense, 10 to 80 degrees two-theta, low angle first)
hkl, 2θ/deg, d_spacing, Rel. int.
1 1 -1, 20.97, 4.237, 138
1 1 3, 31.52, 2.839, 1000
1 -1 0, 32.50, 2.755, 505
1 2 0, 32.74, 2.736, 546
2 1 0, 32.84, 2.727, 473
1 0 -3, 33.07, 2.709, 414
0 0 4, 34.61, 2.592, 141
2 0 3, 44.81, 2.022, 243
0 2 3, 46.97, 1.935, 207
2 2 -3, 47.44, 1.917, 137
2 3 3, 57.67, 1.598, 165
0 1 -7, 65.38, 1.427, 144

Crystal structure
Lattice parameters (Å, degrees): 5.4649 5.4715 10.3913 89.89 86.57 60.62
Space group P1 (No. 1)
Inequivalent atoms, fractional coordinates:
Hf 0.0000 0.0000 0.0000 [1 per cell]
Hf 0.0108 0.9246 0.7094 [1 per cell]
Hf 0.0808 0.9128 0.2969 [1 per cell]
Hf 0.3325 0.2817 0.7716 [1 per cell]
Hf 0.3563 0.2798 0.4698 [1 per cell]
Hf 0.6280 0.6570 0.9412 [1 per cell]
Hf 0.6724 0.6228 0.5417 [1 per cell]
Hf 0.7159 0.6395 0.2382 [1 per cell]
Mg 0.3406 0.2268 0.1459 [1 per cell]
N 0.0578 0.5684 0.6139 [1 per cell]
N 0.0847 0.2865 0.3343 [1 per cell]
N 0.2829 0.6642 0.8550 [1 per cell]
N 0.3491 0.9788 0.6233 [1 per cell]
N 0.3566 0.8106 0.1205 [1 per cell]
N 0.4482 0.5777 0.3845 [1 per cell]
N 0.6818 0.9796 0.8694 [1 per cell]
N 0.7716 0.9748 0.1642 [1 per cell]
O 0.6601 0.2723 0.6230 [1 per cell]
O 0.7347 0.8867 0.4078 [1 per cell]
O 0.9430 0.3958 0.0722 [1 per cell]
O 0.9673 0.2800 0.8394 [1 per cell]

Entry 7:
Simulated powder diffraction line list of Sm5Mg4Tl for Cu Ka, from a cell relaxed with PBE.
Intensities are scaled so that the largest is 1000.

Peak list (12 most intense, 10 to 80 degrees two-theta, low angle first)
hkl, 2θ/deg, d_spacing, Rel. int.
0 0 5, 23.01, 3.865, 74
1 0 0, 23.13, 3.846, 146
1 1 0, 32.88, 2.724, 1000
1 1 5, 40.56, 2.224, 67
0 0 10, 47.02, 1.933, 61
2 0 0, 47.27, 1.923, 121
2 1 0, 53.24, 1.721, 62
1 1 10, 58.60, 1.575, 127
2 1 5, 58.76, 1.571, 253
2 0 10, 68.88, 1.363, 78
1 0 15, 78.25, 1.222, 54
3 1 0, 78.66, 1.216, 108

Crystal structure
Lattice parameters (Å, degrees): 3.8455 3.8455 19.3267 90.00 90.00 90.00
Space group P4/mmm (No. 123)
Inequivalent atoms, fractional coordinates:
Sm 0.0000 0.0000 0.0000 [1 per cell]
Sm 0.0000 0.0000 0.2002 [2 per cell]
Sm 0.0000 0.0000 0.3980 [2 per cell]
Mg 0.5000 0.5000 0.0998 [2 per cell]
Mg 0.5000 0.5000 0.2972 [2 per cell]
Tl 0.5000 0.5000 0.5000 [1 per cell]

Entry 8:
Simulated powder diffraction line list of Y4Ga16Pt3 for Cu Ka, from a cell relaxed with PBE.
Intensities are scaled so that the largest is 1000.

Peak list (12 most intense, 10 to 80 degrees two-theta, low angle first)
hkl, 2θ/deg, d_spacing, Rel. int.
1 1 1, 21.70, 4.096, 606
1 1 3, 31.59, 2.832, 498
2 0 3, 37.75, 2.383, 1000
0 0 5, 40.69, 2.218, 134
2 2 0, 40.95, 2.204, 908
2 0 4, 43.70, 2.071, 458
3 1 1, 46.81, 1.941, 126
3 1 3, 52.62, 1.739, 196
2 2 5, 59.10, 1.563, 149
4 0 0, 59.29, 1.558, 279
4 2 3, 72.47, 1.304, 232
4 2 4, 76.49, 1.245, 211

Crystal structure
Lattice parameters (Å, degrees): 6.2340 6.2340 11.0881 90.00 90.00 90.00
Space group P4/mmm (No. 123)
Inequivalent atoms, fractional coordinates:
Y 0.0000 0.5000 0.1914 [4 per cell]
Ga 0.0000 0.0000 0.2016 [2 per cell]
Ga 0.2094 0.2094 0.0000 [4 per cell]
Ga 0.2466 0.2466 0.3753 [8 per cell]
Ga 0.5000 0.5000 0.2314 [2 per cell]
Pt 0.0000 0.5000 0.5000 [2 per cell]
Pt 0.5000 0.5000 0.0000 [1 per cell]

Entry 9:
Simulated powder diffraction line list of BaPdC for Cu Ka, from a cell relaxed with PBE.
Intensities are scaled so that the largest is 1000.

Peak list (12 most intense, 10 to 80 degrees two-theta, low angle first)
hkl, 2θ/deg, d_spacing, Rel. int.
0 1 0, 23.19, 3.835, 367
0 1 1, 27.41, 3.254, 742
1 1 0, 27.58, 3.234, 547
0 0 2, 29.06, 3.073, 805
1 1 -1, 29.50, 3.028, 505
2 0 -1, 29.74, 3.004, 1000
2 0 1, 36.27, 2.477, 362
0 1 2, 37.51, 2.398, 356
2 1 0, 38.03, 2.366, 447
2 1 1, 43.49, 2.081, 374
0 2 0, 47.41, 1.918, 276
2 2 -1, 56.96, 1.617, 355

Crystal structure
Lattice parameters (Å, degrees): 6.2011 3.8353 6.3317 90.00 103.95 90.00
Space group Pm (No. 6)
Inequivalent atoms, fractional coordinates:
Ba 0.0000 0.0000 0.0000 [1 per cell]
Ba 0.3390 0.5000 0.5831 [1 per cell]
Pd 0.5135 0.0000 0.0260 [1 per cell]
Pd 0.7694 0.0000 0.4931 [1 per cell]
C 0.4665 0.0000 0.3158 [1 per cell]
C 0.8618 0.5000 0.5923 [1 per cell]

Entry 10:
Simulated powder diffraction line list of AlSb3 for Cu Ka, from a cell relaxed with PBE.
Intensities are scaled so that the largest is 1000.

Peak list (12 most intense, 10 to 80 degrees two-theta, low angle first)
hkl, 2θ/deg, d_spacing, Rel. int.
1 1 0, 20.85, 4.261, 272
2 0 0, 29.65, 3.013, 1000
2 1 1, 36.53, 2.460, 132
2 2 0, 42.43, 2.130, 745
3 1 0, 47.73, 1.905, 62
2 2 2, 52.62, 1.739, 261
3 2 1, 57.20, 1.610, 71
4 0 0, 61.56, 1.506, 121
4 1 1, 65.75, 1.420, 35
4 2 0, 69.81, 1.347, 332
3 3 2, 73.76, 1.285, 17
4 2 2, 77.63, 1.230, 247

Crystal structure
Lattice parameters (Å, degrees): 6.0254 6.0254 6.0254 90.00 90.00 90.00
Space group Im-3m (No. 229)
Inequivalent atoms, fractional coordinates:
Al 0.0000 0.0000 0.0000 [2 per cell]
Sb 0.0000 0.0000 0.5000 [6 per cell]

Entry 11:
Simulated powder diffraction line list of ZnP4Br for Cu Ka, from a cell relaxed with PBE.
Intensities are scaled so that the largest is 1000.

Peak list (12 most intense, 10 to 80 degrees two-theta, low angle first)
hkl, 2θ/deg, d_spacing, Rel. int.
1 1 1, 18.29, 4.849, 280
2 0 0, 21.15, 4.200, 65
2 2 0, 30.09, 2.970, 1000
3 1 1, 35.44, 2.533, 932
2 2 2, 37.08, 2.425, 114
3 3 1, 47.16, 1.927, 94
4 2 2, 53.44, 1.715, 320
3 3 3, 56.97, 1.616, 449
4 4 0, 62.56, 1.485, 174
5 3 1, 65.77, 1.420, 162
6 0 0, 66.83, 1.400, 45
6 2 0, 70.97, 1.328, 64

Crystal structure
Lattice parameters (Å, degrees): 8.3995 8.3995 8.3995 90.00 90.00 90.00
Space group F-43m (No. 216)
Inequivalent atoms, fractional coordinates:
Zn 0.0000 0.0000 0.0000 [4 per cell]
P 0.0931 0.0931 0.4069 [16 per cell]
Br 0.2500 0.2500 0.7500 [4 per cell]

Entry 12:
Simulated powder diffraction line list of Pu2SbAu3 for Cu Ka, from a cell relaxed with PBE.
Intensities are scaled so that the largest is 1000.

Peak list (12 most intense, 10 to 80 degrees two-theta, low angle first)
hkl, 2θ/deg, d_spacing, Rel. int.
0 2 2, 20.73, 4.286, 33
2 0 0, 28.34, 3.149, 27
2 0 4, 35.37, 2.538, 1000
0 4 0, 36.31, 2.474, 960
2 4 0, 46.69, 1.946, 41
2 4 4, 51.59, 1.772, 348
4 0 0, 58.63, 1.575, 81
2 2 10, 64.71, 1.440, 356
0 6 6, 65.32, 1.429, 177
4 4 0, 70.95, 1.328, 279
0 4 12, 77.05, 1.238, 75
0 8 0, 77.16, 1.236, 37

Crystal structure
Lattice parameters (Å, degrees): 6.2980 9.8898 17.1572 90.00 90.00 90.00
Space group Fmmm (No. 69)
Inequivalent atoms, fractional coordinates:
Pu 0.2429 0.0000 0.0000 [8 per cell]
Pu 0.2500 0.2500 0.2500 [8 per cell]
Sb 0.0000 0.0000 0.3349 [8 per cell]
Au 0.0000 0.0000 0.1649 [8 per cell]
Au 0.0000 0.2473 0.0821 [16 per cell]

Entry 13:
Simulated powder diffraction line list of Zn2Ga4Pt for Cu Ka, from a cell relaxed with PBE.
Intensities are scaled so that the largest is 1000.

Peak list (12 most intense, 10 to 80 degrees two-theta, low angle first)
hkl, 2θ/deg, d_spacing, Rel. int.
1 0 1, 19.47, 4.558, 469
0 0 2, 26.35, 3.382, 443
1 1 2, 33.53, 2.673, 1000
2 1 1, 35.13, 2.555, 911
2 0 2, 39.54, 2.279, 238
2 2 0, 41.39, 2.181, 741
3 0 1, 46.13, 1.968, 481
2 2 2, 49.74, 1.833, 218
2 1 3, 52.41, 1.746, 293
0 0 4, 54.27, 1.690, 550
2 2 4, 70.47, 1.336, 484
4 3 1, 78.83, 1.214, 220

Crystal structure
Lattice parameters (Å, degrees): 6.1696 6.1696 6.7644 90.00 90.00 90.00
Space group I-42m (No. 121)
Inequivalent atoms, fractional coordinates:
Zn 0.0000 0.5000 0.2500 [4 per cell]
Ga 0.2132 0.2132 0.0022 [8 per cell]
Pt 0.0000 0.0000 0.5000 [2 per cell]